Theoretical powder diffractogram
Compound: AlSbO3
Radiation: a wavelength of 1.5418 Å
Structure: the GGA-PBE geometry in the Materials Project

Main lines, in order of falling intensity (10° ≤ 2θ ≤ 80°):
d (Å)  2θ/deg  I_rel  hkl
2.654  33.77  1000  1 1 0
2.167  41.67  431  1 1 1
3.754  23.70  407  1 0 0
1.533  60.40  382  2 1 1
1.877  48.50  382  2 0 0
1.327  71.02  221  2 2 0

Structure:
Cell lengths 3.754, 3.754, 3.754 Å; angles 90.00, 90.00, 90.00 degrees
Space group Pm-3m (No. 221)
Symmetry-distinct sites (fractional):
Al 0.000 0.000 0.000 (multiplicity 1)
Sb 0.500 0.500 0.500 (multiplicity 1)
O 0.000 0.000 0.500 (multiplicity 3)